No. 1
Starting from DFT lattice parameters and positions (GGA+U), the powder X-ray diffraction pattern of TlCo2F8 was computed for Cu Kα, 1.54184 Å.
No peak broadening, texture or thermal motion is included.

Structure:
```
TlCo2F8
1.0
-2.634 2.634 5.268
2.634 -2.634 5.268
2.634 2.634 -5.268
Tl Co F
1 2 8
Direct
0.000 0.000 0.000 Tl
0.250 0.750 0.500 Co
0.750 0.250 0.500 Co
0.056 0.572 0.885 F
0.170 0.056 0.484 F
0.313 0.428 0.484 F
0.428 0.944 0.115 F
0.572 0.687 0.516 F
0.687 0.170 0.115 F
0.830 0.313 0.885 F
0.944 0.830 0.516 F
```

Top 10 peaks for 10 to 80 degrees two-theta, in order of rising 2θ:
Position (°2θ)  I_rel
18.83  100
29.36  87
30.59  27
34.03  15
39.18  32
46.40  31
48.89  53
58.06  37
58.78  16
79.25  15

---

No. 2
Starting from DFT lattice parameters and positions (GGA+U), the powder X-ray diffraction pattern of YTlCoF6 was computed for Cu Kα, 1.54184 Å.
No peak broadening, texture or thermal motion is included.

Structure:
```
YTlCoF6
1.0
-3.658 3.819 5.197
3.658 -3.819 5.197
3.658 3.819 -5.197
Y Tl Co F
2 2 2 12
Direct
0.000 0.000 0.000 Y
0.500 0.000 0.500 Y
0.342 0.592 0.750 Tl
0.658 0.408 0.250 Tl
0.000 0.000 0.500 Co
0.000 0.500 0.000 Co
0.063 0.380 0.210 F
0.063 0.853 0.683 F
0.096 0.846 0.250 F
0.330 0.147 0.710 F
0.330 0.620 0.183 F
0.359 0.109 0.250 F
0.641 0.891 0.750 F
0.670 0.380 0.817 F
0.670 0.853 0.290 F
0.904 0.154 0.750 F
0.937 0.147 0.317 F
0.937 0.620 0.790 F
```

Top 10 peaks for 10 to 80 degrees two-theta, in order of rising 2θ:
Position (°2θ)  I_rel
24.02  73
27.71  82
28.34  100
29.87  33
37.65  20
41.37  19
44.16  31
44.96  26
49.19  46
58.32  19

---

No. 3
Starting from DFT lattice parameters and positions (GGA+U), the powder X-ray diffraction pattern of CoWF6 was computed for Cu Kα, 1.54184 Å.
No peak broadening, texture or thermal motion is included.

Structure:
```
CoWF6
1.0
5.233 0.000 0.000
2.552 4.636 0.000
2.567 1.486 4.821
Co W F
1 1 6
Direct
0.000 0.000 0.000 Co
0.500 0.500 0.500 W
0.142 0.742 0.750 F
0.254 0.637 0.248 F
0.365 0.140 0.753 F
0.635 0.860 0.247 F
0.746 0.363 0.752 F
0.858 0.258 0.250 F
```

Top 10 peaks for 10 to 80 degrees two-theta, in order of rising 2θ:
Position (°2θ)  I_rel
18.40  16
20.04  14
22.94  100
23.05  49
31.18  16
31.53  16
31.84  15
38.60  16
46.87  18
51.68  13